Theoretical X-ray powder pattern
Compound: TbScAgPt
Radiation: Cu Kα (weighted mean of Kα1 and Kα2)
Structure: a structure optimized by DFT (GGA-PBE)
Neutral-atom scattering factors, no anomalous dispersion.

Peak list (8 most intense, 10 to 90 degrees two-theta, in order of rising 2θ)
2θ = 12.62°, rel. 17, hkl 0 0 1
2θ = 28.78°, rel. 22, hkl 1 0 1
2θ = 36.49°, rel. 100, hkl 1 0 2
2θ = 36.75°, rel. 52, hkl 1 1 0
2θ = 52.95°, rel. 18, hkl 2 0 0
2θ = 65.52°, rel. 15, hkl 1 1 4
2θ = 66.02°, rel. 35, hkl 2 1 2
2θ = 77.54°, rel. 9, hkl 2 0 4

Structure:
```
data_TbScAgPt
_cell_length_a 3.4585
_cell_length_b 3.4585
_cell_length_c 7.0118
_cell_angle_alpha 90.00
_cell_angle_beta 90.00
_cell_angle_gamma 90.00
_space_group_name_H-M_alt 'P 4 m m'
_space_group_IT_number 99
_space_group_name_Hall 'P 4 -2'
loop_
_atom_site_label
_atom_site_type_symbol
_atom_site_fract_x
_atom_site_fract_y
_atom_site_fract_z
Tb1 Tb 0.0000 0.0000 0.0000
Sc1 Sc 0.0000 0.0000 0.5288
Ag1 Ag 0.5000 0.5000 0.2900
Pt1 Pt 0.5000 0.5000 0.7410
```

=====

Theoretical X-ray powder pattern
Compound: AgPt2Se
Radiation: Cu Kα (weighted mean of Kα1 and Kα2)
Structure: a structure optimized by DFT (GGA-PBE)
Neutral-atom scattering factors, no anomalous dispersion.

Peak list (8 most intense, 10 to 90 degrees two-theta, in order of rising 2θ)
2θ = 19.10°, rel. 20, hkl 2 0 0
2θ = 37.95°, rel. 38, hkl 2 0 -2
2θ = 38.79°, rel. 100, hkl 1 1 1
2θ = 41.18°, rel. 57, hkl 3 1 -1
2θ = 51.56°, rel. 14, hkl 2 0 2
2θ = 67.48°, rel. 14, hkl 1 1 -3
2θ = 72.36°, rel. 11, hkl 5 1 -3
2θ = 73.46°, rel. 18, hkl 2 2 -2

Structure:
```
data_AgPt2Se
_cell_length_a 9.9751
_cell_length_b 3.0699
_cell_length_c 4.7783
_cell_angle_alpha 90.00
_cell_angle_beta 111.28
_cell_angle_gamma 90.00
_space_group_name_H-M_alt 'C 1 2/m 1'
_space_group_IT_number 12
_space_group_name_Hall '-C 2y'
loop_
_atom_site_label
_atom_site_type_symbol
_atom_site_fract_x
_atom_site_fract_y
_atom_site_fract_z
Ag1 Ag 0.0000 0.0000 0.0000
Pt1 Pt 0.2317 0.0000 0.7366
Se1 Se 0.0000 0.5000 0.5000
```

=====

Theoretical X-ray powder pattern
Compound: Ag3Pt3Se8
Radiation: Cu Kα (weighted mean of Kα1 and Kα2)
Structure: a structure optimized by DFT (GGA-PBE)
Neutral-atom scattering factors, no anomalous dispersion.

Peak list (8 most intense, 10 to 90 degrees two-theta, in order of rising 2θ)
2θ = 13.23°, rel. 88, hkl 0 0 3
2θ = 25.84°, rel. 21, hkl 0 1 5
2θ = 26.87°, rel. 41, hkl 0 2 1
2θ = 32.03°, rel. 100, hkl 0 2 4
2θ = 42.06°, rel. 28, hkl 1 2 5
2θ = 45.07°, rel. 24, hkl 2 0 8
2θ = 46.78°, rel. 52, hkl 2 2 0
2θ = 48.84°, rel. 22, hkl 2 2 3

Structure:
```
data_Ag3Pt3Se8
_cell_length_a 7.7684
_cell_length_b 7.7684
_cell_length_c 20.0771
_cell_angle_alpha 90.00
_cell_angle_beta 90.00
_cell_angle_gamma 120.00
_space_group_name_H-M_alt 'R -3 m'
_space_group_IT_number 166
_space_group_name_Hall '-R 3 2"'
loop_
_atom_site_label
_atom_site_type_symbol
_atom_site_fract_x
_atom_site_fract_y
_atom_site_fract_z
Ag1 Ag 0.0000 0.0000 0.0000
Ag2 Ag 0.0000 0.0000 0.4258
Pt1 Pt 0.0000 0.5000 0.5000
Se1 Se 0.0000 0.0000 0.2293
Se2 Se 0.0424 0.5212 0.7629
```

=====

Theoretical X-ray powder pattern
Compound: TlZnAgPtSe
Radiation: Cu Kα (weighted mean of Kα1 and Kα2)
Structure: a structure optimized by DFT (GGA-PBE)
Neutral-atom scattering factors, no anomalous dispersion.

Peak list (8 most intense, 10 to 90 degrees two-theta, in order of rising 2θ)
2θ = 20.89°, rel. 100, hkl 1 0 0
2θ = 26.15°, rel. 74, hkl 1 0 -1
2θ = 29.41°, rel. 72, hkl 0 1 -1
2θ = 34.12°, rel. 69, hkl 0 1 2
2θ = 37.86°, rel. 69, hkl 1 2 1
2θ = 38.21°, rel. 55, hkl 1 1 2
2θ = 39.29°, rel. 88, hkl 0 2 0
2θ = 41.03°, rel. 61, hkl 2 1 0

Structure:
```
data_TlZnAgPtSe
_cell_length_a 4.4640
_cell_length_b 5.0195
_cell_length_c 5.4781
_cell_angle_alpha 73.33
_cell_angle_beta 88.39
_cell_angle_gamma 72.67
_space_group_name_H-M_alt 'P 1'
_space_group_IT_number 1
_space_group_name_Hall 'P 1'
loop_
_atom_site_label
_atom_site_type_symbol
_atom_site_fract_x
_atom_site_fract_y
_atom_site_fract_z
Tl1 Tl 0.0000 0.0000 0.0000
Zn1 Zn 0.3457 0.4786 0.6575
Ag1 Ag 0.8678 0.4496 0.3365
Pt1 Pt 0.7993 0.6122 0.8033
Se1 Se 0.5049 0.0566 0.4614
```